# 1
Diffraction record for Li14GaCu. The PXRD pattern is theoretical, not measured: it uses DFT lattice parameters and positions (GGA-PBE) and Cu Kα (λ = 1.5418 Å).
No peak broadening, texture or thermal motion is included.

Peak list (12 most intense, 10 to 80 degrees two-theta, sorted by position)
2θ (°), Rel. int.
19.36, 100.0
21.69, 76.9
26.38, 24.1
27.52, 41.6
28.14, 39.3
32.93, 52.2
34.40, 45.6
35.28, 20.4
38.49, 84.5
44.18, 21.6
44.58, 27.8
52.19, 27.9

Structural model:
```
Li14GaCu
1.0
9.1795 0.0000 0.0000
0.0000 3.3789 4.5780
0.0000 -3.3789 4.5780
Li Ga Cu
14 1 1
Direct
0.0000 0.0000 0.0000
0.0000 0.4784 0.4784
0.0000 0.5127 0.9644
0.0000 0.9644 0.5127
0.2456 0.2315 0.2315
0.2738 0.1945 0.7299
0.2738 0.7299 0.1945
0.2785 0.6995 0.6995
0.5000 0.4269 0.9738
0.5000 0.9738 0.4269
0.7215 0.6995 0.6995
0.7262 0.1945 0.7299
0.7262 0.7299 0.1945
0.7544 0.2315 0.2315
0.5000 0.4566 0.4566
0.5000 0.9390 0.9390
```

=====

# 2
Diffraction record for LiGa6Cu6. The PXRD pattern is theoretical, not measured: it uses DFT lattice parameters and positions (GGA-PBE) and Cu Kα (λ = 1.5418 Å).
No peak broadening, texture or thermal motion is included.

Peak list (12 most intense, 10 to 80 degrees two-theta, sorted by position)
2θ (°), Rel. int.
20.11, 22.2
22.76, 12.0
35.21, 28.4
40.88, 34.9
41.45, 56.1
43.12, 20.6
46.49, 100.0
48.02, 36.8
67.45, 12.3
72.36, 20.2
74.45, 22.6
77.92, 17.6

Structural model:
```
LiGa6Cu6
1.0
5.0976 0.0000 0.0000
-2.5488 4.4147 0.0000
0.0000 0.0000 8.3911
Li Ga Cu
1 6 6
Direct
0.0000 0.0000 0.0000
0.0000 0.0000 0.3455
0.0000 0.0000 0.6545
0.3333 0.6667 0.0000
0.3333 0.6667 0.5000
0.6667 0.3333 0.0000
0.6667 0.3333 0.5000
0.0000 0.5000 0.2466
0.0000 0.5000 0.7534
0.5000 0.0000 0.2466
0.5000 0.0000 0.7534
0.5000 0.5000 0.2466
0.5000 0.5000 0.7534
```

=====

# 3
Diffraction record for Li2Ga4Cu5. The PXRD pattern is theoretical, not measured: it uses DFT lattice parameters and positions (GGA-PBE) and Cu Kα (λ = 1.5418 Å).
No peak broadening, texture or thermal motion is included.

Peak list (12 most intense, 10 to 80 degrees two-theta, sorted by position)
2θ (°), Rel. int.
21.17, 100.0
37.08, 8.6
40.36, 28.8
42.01, 38.7
44.12, 9.8
44.44, 26.6
46.33, 15.6
47.49, 45.9
48.75, 24.3
49.70, 10.2
75.00, 11.8
77.94, 9.1

Structural model:
```
Li2Ga4Cu5
1.0
0.0000 4.2026 8.1552
2.5317 0.0000 8.1552
2.5317 4.2026 0.0000
Li Ga Cu
2 4 5
Direct
0.1010 0.1010 0.8990
0.8990 0.8990 0.1010
0.2086 0.5347 0.4653
0.4653 0.7914 0.2086
0.5347 0.2086 0.7914
0.7914 0.4653 0.5347
0.0000 0.0000 0.5000
0.2500 0.2500 0.2500
0.5000 0.5000 0.0000
0.5000 0.5000 0.5000
0.7500 0.7500 0.7500
```

=====

# 4
Diffraction record for Li3Ga3Cu2. The PXRD pattern is theoretical, not measured: it uses DFT lattice parameters and positions (GGA-PBE) and Cu Kα (λ = 1.5418 Å).
No peak broadening, texture or thermal motion is included.

Peak list (12 most intense, 10 to 80 degrees two-theta, sorted by position)
2θ (°), Rel. int.
10.87, 53.8
26.99, 66.1
27.06, 28.1
27.32, 36.9
40.93, 100.0
41.27, 98.2
43.87, 41.8
44.52, 37.4
47.52, 19.7
54.53, 21.4
72.47, 17.4
78.39, 13.4

Structural model:
```
Li3Ga3Cu2
1.0
3.3656 0.0000 0.0000
0.0003 4.1282 0.0000
1.6683 1.9533 8.1410
Li Ga Cu
3 3 2
Direct
0.0000 0.0000 0.0000
0.1302 0.6320 0.7400
0.8698 0.3680 0.2600
0.3641 0.8631 0.2688
0.5000 0.5000 0.0000
0.6359 0.1369 0.7312
0.2488 0.2496 0.5025
0.7512 0.7504 0.4975
```

=====

# 5
Diffraction record for Li2GaCu2. The PXRD pattern is theoretical, not measured: it uses DFT lattice parameters and positions (GGA-PBE) and Cu Kα (λ = 1.5418 Å).
No peak broadening, texture or thermal motion is included.

Peak list (12 most intense, 10 to 80 degrees two-theta, sorted by position)
2θ (°), Rel. int.
20.36, 80.0
28.24, 100.0
42.27, 48.1
42.53, 47.3
42.88, 92.3
43.88, 86.2
47.59, 16.7
48.25, 15.7
49.40, 15.1
61.52, 29.7
77.01, 14.6
78.78, 20.6

Structural model:
```
Li2GaCu2
1.0
4.5581 -2.1257 0.0000
4.5581 2.1257 0.0000
-2.0553 0.0000 6.7783
Li Ga Cu
4 2 4
Direct
0.0542 0.5561 0.8515
0.4439 0.9458 0.6485
0.5561 0.0542 0.3515
0.9458 0.4439 0.1485
0.2494 0.7506 0.2500
0.7506 0.2494 0.7500
0.1520 0.6506 0.5508
0.3494 0.8480 0.9492
0.6506 0.1520 0.0508
0.8480 0.3494 0.4492
```

=====

# 6
Diffraction record for LiGaCuPt. The PXRD pattern is theoretical, not measured: it uses DFT lattice parameters and positions (GGA-PBE) and Cu Kα (λ = 1.5418 Å).
No peak broadening, texture or thermal motion is included.

Peak list (12 most intense, 10 to 80 degrees two-theta, sorted by position)
2θ (°), Rel. int.
23.73, 2.5
26.24, 99.2
41.27, 100.0
43.29, 26.5
47.76, 32.7
48.56, 15.6
55.31, 26.1
66.42, 15.2
67.07, 7.4
69.85, 10.3
70.48, 20.0
76.03, 5.2

Structural model:
```
LiGaCuPt
1.0
-1.9044 1.9044 3.7495
1.9044 -1.9044 3.7495
1.9044 1.9044 -3.7495
Li Ga Cu Pt
1 1 1 1
Direct
0.0000 0.0000 0.0000
0.2500 0.7500 0.5000
0.7500 0.2500 0.5000
0.5000 0.5000 0.0000
```

=====

# 7
Diffraction record for LiGaCuRu. The PXRD pattern is theoretical, not measured: it uses DFT lattice parameters and positions (GGA-PBE) and Cu Kα (λ = 1.5418 Å).
No peak broadening, texture or thermal motion is included.

Peak list (12 most intense, 10 to 80 degrees two-theta, sorted by position)
2θ (°), Rel. int.
20.55, 28.5
21.96, 20.7
36.10, 11.3
36.96, 12.5
41.80, 26.5
42.66, 100.0
44.78, 21.7
60.90, 8.4
62.92, 15.1
76.59, 8.3
76.92, 16.3
78.68, 7.7

Structural model:
```
LiGaCuRu
1.0
3.0425 0.0000 0.0000
0.0000 4.0478 0.0000
0.0000 0.0000 4.3219
Li Ga Cu Ru
1 1 1 1
Direct
0.0000 0.0000 0.0000
0.5000 0.0000 0.5000
0.5000 0.5000 0.0000
0.0000 0.5000 0.5000
```

=====

# 8
Diffraction record for Li2Ga2Cu7Si. The PXRD pattern is theoretical, not measured: it uses DFT lattice parameters and positions (GGA-PBE) and Cu Kα (λ = 1.5418 Å).
No peak broadening, texture or thermal motion is included.

Peak list (12 most intense, 10 to 80 degrees two-theta, sorted by position)
2θ (°), Rel. int.
22.56, 33.0
24.35, 24.0
25.51, 36.8
35.77, 50.0
38.20, 27.9
41.49, 100.0
41.72, 99.2
41.98, 63.4
46.05, 57.4
46.85, 72.7
49.90, 43.6
50.53, 59.9

Structural model:
```
Li2Ga2Cu7Si
1.0
2.6009 -2.5687 0.0000
2.6009 2.5687 0.0000
-0.0677 0.0000 11.8255
Li Ga Cu Si
2 2 7 1
Direct
0.0012 0.0012 0.3171
0.9988 0.9988 0.6829
0.4988 0.4988 0.6910
0.5012 0.5012 0.3090
0.0000 0.0000 0.0000
0.0003 0.5004 0.1517
0.9997 0.4996 0.8483
0.2639 0.2639 0.5003
0.5004 0.0003 0.1517
0.4996 0.9997 0.8483
0.7361 0.7361 0.4997
0.5000 0.5000 0.0000
```